Simulated X-ray powder pattern of Na6Cd7 for Cu Ka, from a cell relaxed with PBE.

```
data_Na6Cd7
_cell_length_a 11.381
_cell_length_b 11.381
_cell_length_c 11.381
_cell_angle_alpha 30.41
_cell_angle_beta 30.41
_cell_angle_gamma 30.41
_symmetry_space_group_name_H-M 'P 1'
_symmetry_Int_Tables_number 1
_symmetry_space_group_name_Hall 'P 1'
loop_
_atom_site_label
_atom_site_type_symbol
_atom_site_fract_x
_atom_site_fract_y
_atom_site_fract_z
Na1 Na 0.050 0.050 0.050
Na2 Na 0.152 0.152 0.152
Na3 Na 0.333 0.333 0.333
Na4 Na 0.667 0.667 0.667
Na5 Na 0.848 0.848 0.848
Na6 Na 0.950 0.950 0.950
Cd1 Cd 0.087 0.592 0.592
Cd2 Cd 0.408 0.408 0.913
Cd3 Cd 0.408 0.913 0.408
Cd4 Cd 0.500 0.500 0.500
Cd5 Cd 0.592 0.087 0.592
Cd6 Cd 0.592 0.592 0.087
Cd7 Cd 0.913 0.408 0.408
```

The 6 most intense peaks (2θ = 5–70°), in order of rising 2θ:
| two_theta | I_rel |
| --- | --- |
| 8.15 | 549 |
| 16.35 | 945 |
| 17.37 | 698 |
| 34.29 | 689 |
| 34.81 | 520 |
| 37.43 | 1000 |

Simulated X-ray powder pattern of GaNiI7 for Cu Ka, from a cell relaxed with PBE.

```
data_GaNiI7
_cell_length_a 7.232
_cell_length_b 7.028
_cell_length_c 16.049
_cell_angle_alpha 90.00
_cell_angle_beta 103.11
_cell_angle_gamma 90.00
_symmetry_space_group_name_H-M 'P 1'
_symmetry_Int_Tables_number 1
_symmetry_space_group_name_Hall 'P 1'
loop_
_atom_site_label
_atom_site_type_symbol
_atom_site_fract_x
_atom_site_fract_y
_atom_site_fract_z
Ga1 Ga 0.000 0.001 0.000
Ga2 Ga 0.000 0.999 0.500
Ni1 Ni 0.714 0.354 0.347
Ni2 Ni 0.714 0.646 0.847
I1 I 0.030 0.158 0.355
I2 I 0.030 0.842 0.855
I3 I 0.043 0.356 0.010
I4 I 0.043 0.644 0.510
I5 I 0.232 0.158 0.632
I6 I 0.232 0.842 0.132
I7 I 0.457 0.420 0.866
I8 I 0.457 0.580 0.366
I9 I 0.486 0.171 0.223
I10 I 0.486 0.829 0.723
I11 I 0.668 0.164 0.484
I12 I 0.668 0.836 0.984
I13 I 0.788 0.440 0.734
I14 I 0.788 0.560 0.234
```

The 6 most intense peaks (2θ = 5–70°), in order of rising 2θ:
| two_theta | I_rel |
| --- | --- |
| 14.90 | 523 |
| 22.67 | 707 |
| 25.99 | 474 |
| 26.68 | 1000 |
| 27.75 | 422 |
| 31.27 | 453 |

Copy entry 1 word for word.
Simulated X-ray powder pattern of Na6Cd7 for Cu Ka, from a cell relaxed with PBE.

```
data_Na6Cd7
_cell_length_a 11.381
_cell_length_b 11.381
_cell_length_c 11.381
_cell_angle_alpha 30.41
_cell_angle_beta 30.41
_cell_angle_gamma 30.41
_symmetry_space_group_name_H-M 'P 1'
_symmetry_Int_Tables_number 1
_symmetry_space_group_name_Hall 'P 1'
loop_
_atom_site_label
_atom_site_type_symbol
_atom_site_fract_x
_atom_site_fract_y
_atom_site_fract_z
Na1 Na 0.050 0.050 0.050
Na2 Na 0.152 0.152 0.152
Na3 Na 0.333 0.333 0.333
Na4 Na 0.667 0.667 0.667
Na5 Na 0.848 0.848 0.848
Na6 Na 0.950 0.950 0.950
Cd1 Cd 0.087 0.592 0.592
Cd2 Cd 0.408 0.408 0.913
Cd3 Cd 0.408 0.913 0.408
Cd4 Cd 0.500 0.500 0.500
Cd5 Cd 0.592 0.087 0.592
Cd6 Cd 0.592 0.592 0.087
Cd7 Cd 0.913 0.408 0.408
```

The 6 most intense peaks (2θ = 5–70°), in order of rising 2θ:
| two_theta | I_rel |
| --- | --- |
| 8.15 | 549 |
| 16.35 | 945 |
| 17.37 | 698 |
| 34.29 | 689 |
| 34.81 | 520 |
| 37.43 | 1000 |